Record 1
This entry pairs a crystal structure of Er10Ga3Bi3 with its simulated powder diffraction line list. Radiation: Cu Kα (weighted mean of Kα1 and Kα2). Structure: a crystal structure in Alexandria, relaxed with GGA-PBE.

Largest 10 diffraction maxima, most intense first, 2θ from 10° to 90°:
| d (Å) | 2theta | I_rel | hkl |
| --- | --- | --- | --- |
| 2.627 | 34.1 | 1000 | 2 1 1 |
| 2.609 | 34.4 | 749 | 1 1 2 |
| 2.873 | 31.1 | 340 | 2 1 0 |
| 2.534 | 35.4 | 334 | 3 0 0 |
| 1.728 | 53.0 | 293 | 2 1 3 |
| 1.377 | 68.1 | 188 | 5 0 2 |
| 2.985 | 29.9 | 183 | 1 0 2 |
| 3.245 | 27.5 | 178 | 0 0 2 |
| 1.818 | 50.2 | 175 | 2 2 2 |
| 1.640 | 56.1 | 126 | 4 0 2 |

```
data_Er10Ga3Bi3
_chemical_formula_sum 'Er10 Ga3 Bi3'
_cell_length_a 8.7774
_cell_length_b 8.7774
_cell_length_c 6.4906
_cell_angle_alpha 90.00
_cell_angle_beta 90.00
_cell_angle_gamma 120.00
_space_group_name_H-M_alt 'P -6 2 m'
_space_group_IT_number 189
_space_group_name_Hall 'P -6 -2'
loop_
_atom_site_label
_atom_site_fract_x
_atom_site_fract_y
_atom_site_fract_z
Er1 0.0000 0.2377 0.0000
Er2 0.0000 0.7652 0.5000
Er3 0.3333 0.6667 0.2359
Ga1 0.0000 0.6075 0.0000
Bi1 0.0000 0.3996 0.5000
```

---

Record 2
This entry pairs a crystal structure of Pm8AlIn6 with its simulated powder diffraction line list. Radiation: Cu Kα (weighted mean of Kα1 and Kα2). Structure: a crystal structure in Alexandria, relaxed with GGA-PBE.

Largest 10 diffraction maxima, most intense first, 2θ from 10° to 90°:
| d (Å) | 2theta | I_rel | hkl |
| --- | --- | --- | --- |
| 2.904 | 30.8 | 1000 | 3 -2 2 |
| 2.609 | 34.4 | 904 | 2 -1 6 |
| 2.691 | 33.3 | 639 | 3 0 0 |
| 2.562 | 35.0 | 468 | 2 1 4 |
| 3.068 | 29.1 | 246 | 0 2 4 |
| 1.818 | 50.2 | 244 | 2 3 2 |
| 3.148 | 28.4 | 184 | 0 0 6 |
| 1.724 | 53.1 | 182 | 5 -2 4 |
| 4.661 | 19.0 | 174 | 1 1 0 |
| 1.433 | 65.1 | 173 | 6 -5 2 |

```
data_Pm8AlIn6
_chemical_formula_sum 'Pm24 Al3 In18'
_cell_length_a 9.3228
_cell_length_b 9.3228
_cell_length_c 18.8869
_cell_angle_alpha 90.00
_cell_angle_beta 90.00
_cell_angle_gamma 120.00
_space_group_name_H-M_alt 'R -3'
_space_group_IT_number 148
_space_group_name_Hall '-R 3'
loop_
_atom_site_label
_atom_site_fract_x
_atom_site_fract_y
_atom_site_fract_z
Pm1 0.0000 0.0000 0.2132
Pm2 0.0001 0.2544 0.3910
Al1 0.0000 0.0000 0.5000
In1 0.0271 0.3009 0.8886
```

---

Record 3
This entry pairs a crystal structure of Ca6AlCd2 with its simulated powder diffraction line list. Radiation: Cu Kα (weighted mean of Kα1 and Kα2). Structure: a crystal structure in Alexandria, relaxed with GGA-PBE.

Largest 10 diffraction maxima, most intense first, 2θ from 10° to 90°:
| d (Å) | 2theta | I_rel | hkl |
| --- | --- | --- | --- |
| 2.894 | 30.9 | 1000 | 1 3 3 |
| 6.690 | 13.2 | 340 | 0 2 0 |
| 2.695 | 33.2 | 230 | 2 0 0 |
| 2.684 | 33.4 | 227 | 0 0 6 |
| 2.188 | 41.3 | 206 | 1 5 3 |
| 1.901 | 47.8 | 155 | 2 0 6 |
| 1.591 | 58.0 | 150 | 3 3 3 |
| 1.587 | 58.1 | 147 | 1 3 9 |
| 1.717 | 53.4 | 135 | 2 6 0 |
| 4.774 | 18.6 | 113 | 1 1 1 |

```
data_Ca6AlCd2
_chemical_formula_sum 'Ca24 Al4 Cd8'
_cell_length_a 5.3891
_cell_length_b 13.3794
_cell_length_c 16.1022
_cell_angle_alpha 90.00
_cell_angle_beta 90.00
_cell_angle_gamma 90.00
_space_group_name_H-M_alt 'F m m m'
_space_group_IT_number 69
_space_group_name_Hall '-F 2 2'
loop_
_atom_site_label
_atom_site_fract_x
_atom_site_fract_y
_atom_site_fract_z
Ca1 0.0000 0.1402 0.0000
Ca2 0.0000 0.1411 0.3352
Al1 0.0000 0.0000 0.5000
Cd1 0.0000 0.0000 0.1656
```

---

Record 4
This entry pairs a crystal structure of BaNiAg3 with its simulated powder diffraction line list. Radiation: Cu Kα (weighted mean of Kα1 and Kα2). Structure: a crystal structure in Alexandria, relaxed with GGA-PBE.

Largest 10 diffraction maxima, most intense first, 2θ from 10° to 90°:
| d (Å) | 2theta | I_rel | hkl |
| --- | --- | --- | --- |
| 2.900 | 30.8 | 1000 | 1 1 1 |
| 2.511 | 35.8 | 879 | 2 0 0 |
| 1.776 | 51.5 | 596 | 2 2 0 |
| 1.514 | 61.2 | 400 | 3 1 1 |
| 1.123 | 86.7 | 263 | 4 2 0 |
| 1.450 | 64.2 | 198 | 2 2 2 |
| 1.152 | 84.0 | 166 | 3 3 1 |
| 3.551 | 25.1 | 111 | 1 1 0 |
| 1.256 | 75.8 | 91 | 4 0 0 |
| 2.050 | 44.2 | 48 | 2 1 1 |

```
data_BaNiAg3
_chemical_formula_sum 'Ba1 Ni1 Ag3'
_cell_length_a 5.0225
_cell_length_b 5.0225
_cell_length_c 5.0225
_cell_angle_alpha 90.00
_cell_angle_beta 90.00
_cell_angle_gamma 90.00
_space_group_name_H-M_alt 'P m -3 m'
_space_group_IT_number 221
_space_group_name_Hall '-P 4 2 3'
loop_
_atom_site_label
_atom_site_fract_x
_atom_site_fract_y
_atom_site_fract_z
Ba1 0.0000 0.0000 0.0000
Ni1 0.5000 0.5000 0.5000
Ag1 0.0000 0.5000 0.5000
```

---

Record 5
This entry pairs a crystal structure of Pr4NdEr10 with its simulated powder diffraction line list. Radiation: Cu Kα (weighted mean of Kα1 and Kα2). Structure: a crystal structure in Alexandria, relaxed with GGA-PBE.

Largest 10 diffraction maxima, most intense first, 2θ from 10° to 90°:
| d (Å) | 2theta | I_rel | hkl |
| --- | --- | --- | --- |
| 2.822 | 31.7 | 1000 | 4 0 0 |
| 2.661 | 33.7 | 359 | 3 3 0 |
| 2.214 | 40.8 | 335 | 3 3 2 |
| 2.913 | 30.7 | 276 | 3 2 1 |
| 3.264 | 27.3 | 270 | 2 0 2 |
| 1.389 | 67.4 | 167 | 7 3 2 |
| 2.597 | 34.5 | 167 | 1 0 3 |
| 3.568 | 25.0 | 160 | 3 1 0 |
| 1.723 | 53.2 | 159 | 5 0 3 |
| 1.425 | 65.5 | 140 | 3 2 5 |

```
data_Pr4NdEr10
_chemical_formula_sum 'Pr8 Nd2 Er20'
_cell_length_a 11.2775
_cell_length_b 11.2775
_cell_length_c 8.0068
_cell_angle_alpha 90.00
_cell_angle_beta 90.00
_cell_angle_gamma 90.00
_space_group_name_H-M_alt 'I 4/m m m'
_space_group_IT_number 139
_space_group_name_Hall '-I 4 2'
loop_
_atom_site_label
_atom_site_fract_x
_atom_site_fract_y
_atom_site_fract_z
Pr1 0.2270 0.2270 0.0000
Nd1 0.0000 0.0000 0.0000
Er1 0.0000 0.2077 0.2958
Er2 0.0000 0.5000 0.2500
```

---

Record 6
This entry pairs a crystal structure of La6Pd2Au with its simulated powder diffraction line list. Radiation: Cu Kα (weighted mean of Kα1 and Kα2). Structure: a crystal structure in Alexandria, relaxed with GGA-PBE.

Largest 10 diffraction maxima, most intense first, 2θ from 10° to 90°:
| d (Å) | 2theta | I_rel | hkl |
| --- | --- | --- | --- |
| 2.773 | 32.3 | 1000 | 1 3 2 |
| 2.957 | 30.2 | 611 | 2 2 2 |
| 2.723 | 32.9 | 373 | 2 3 1 |
| 2.669 | 33.6 | 251 | 0 0 4 |
| 1.621 | 56.8 | 249 | 5 3 2 |
| 2.447 | 36.7 | 238 | 4 0 0 |
| 3.112 | 28.7 | 182 | 3 1 0 |
| 2.497 | 36.0 | 137 | 1 1 4 |
| 1.679 | 54.7 | 132 | 2 5 3 |
| 2.404 | 37.4 | 129 | 3 0 3 |

```
data_La6Pd2Au
_chemical_formula_sum 'La24 Pd8 Au4'
_cell_length_a 9.7878
_cell_length_b 10.3333
_cell_length_c 10.6671
_cell_angle_alpha 90.00
_cell_angle_beta 90.00
_cell_angle_gamma 90.00
_space_group_name_H-M_alt 'I m m m'
_space_group_IT_number 71
_space_group_name_Hall '-I 2 2'
loop_
_atom_site_label
_atom_site_fract_x
_atom_site_fract_y
_atom_site_fract_z
La1 0.0000 0.1880 0.2401
La2 0.2009 0.5000 0.1677
La3 0.2182 0.3268 0.5000
Pd1 0.0000 0.3465 0.0000
Pd2 0.0000 0.5000 0.3664
Au1 0.0000 0.0000 0.0000
Au2 0.0000 0.0000 0.5000
```